# SiSbPt5
Calculated X-ray diffraction stick pattern, Cu Kα X-rays. Input: DFT lattice parameters and positions (PBE).
Lines closer than 0.1° are merged.

Structure:
```
SiSbPt5
1.0
3.9964 0.0000 0.0000
0.0000 3.9964 0.0000
0.0000 0.0000 7.2731
Si Sb Pt
1 1 5
Direct
0.0000 0.0000 0.0000
0.5000 0.5000 0.5000
0.0000 0.0000 0.5000
0.0000 0.5000 0.1996
0.0000 0.5000 0.8004
0.5000 0.0000 0.1996
0.5000 0.0000 0.8004
```

Top 8 peaks for 10 to 90 degrees two-theta, low angle first:
| h k l | Position (°2θ) | d (Å) | I (rel.) |
| --- | --- | --- | --- |
| 1 1 0 | 31.66 | 2.826 | 18.8 |
| 1 1 1 | 34.04 | 2.634 | 47.4 |
| 0 0 3 | 37.08 | 2.424 | 28.4 |
| 1 1 2 | 40.42 | 2.231 | 100.0 |
| 2 0 0 | 45.39 | 1.998 | 48.1 |
| 2 0 3 | 60.00 | 1.542 | 28.5 |
| 1 1 5 | 73.18 | 1.293 | 21.4 |
| 3 1 2 | 80.45 | 1.194 | 27.7 |